Diffraction record for NbTe4I. The XRD peak list is simulated, not measured: it uses a PBE-relaxed structure and copper Kα.

Most intense lines, 10 to 80 degrees two-theta, in order of falling intensity:
index  2θ (°)  intensity
1 1 0  12.26  100
0 2 0  10.97  78
0 5 2  30.80  66
0 0 4  26.80  66
3 0 -2  33.97  52
2 2 4  39.29  49
2 2 0  24.63  39
2 6 0  40.30  35
1 4 2  28.97  31
2 3 -2  29.22  29

Crystal structure
```
data_NbTe4I
_cell_length_a 8.170
_cell_length_b 16.137
_cell_length_c 13.473
_cell_angle_alpha 90.00
_cell_angle_beta 98.99
_cell_angle_gamma 90.00
_space_group_name_H-M_alt 'P 1 21/c 1'
_space_group_IT_number 14
loop_
_space_group_symop_operation_xyz
'x,y,z'
'-x,-y,-z'
'-x,y+1/2,-z+1/2'
'x,-y+1/2,z+1/2'
loop_
_atom_site_label
_atom_site_fract_x
_atom_site_fract_y
_atom_site_fract_z
Nb1 0.245 0.244 0.244
Nb2 0.246 0.249 0.996
Te1 0.010 0.168 0.835
Te2 0.017 0.157 0.360
Te3 0.033 0.709 0.409
Te4 0.240 0.101 0.115
Te5 0.257 0.109 0.625
Te6 0.474 0.719 0.853
Te7 0.477 0.160 0.386
Te8 0.477 0.165 0.897
I1 0.125 0.535 0.883
I2 0.380 0.531 0.356
```